Computed powder X-ray diffraction pattern of SmGa2Se4 for Cu Ka, from a cell relaxed with GGA-PBE.
Kinematic intensities with the Lorentz-polarization factor, no thermal factor.

Atomic structure:
abc: 13.2840 20.4542 20.9712
angles: 90.00 90.00 90.00
Space group Fddd (No. 70, origin choice 2)
Asymmetric unit:
Sm 0.1250 0.1250 0.1250 [8 per cell]
Sm 0.1250 0.1250 0.3737 [16 per cell]
Sm 0.1250 0.1250 0.6250 [8 per cell]
Ga 0.0904 0.3008 0.2499 [32 per cell]
Ga 0.1214 0.2643 0.7507 [32 per cell]
Se 0.0013 0.0005 0.9056 [32 per cell]
Se 0.0016 0.0004 0.5917 [32 per cell]
Se 0.0122 0.0934 0.2493 [32 per cell]
Se 0.0221 0.0887 0.7508 [32 per cell]

Most intense lines, 5 to 70 degrees two-theta, in order of rising 2θ:
h k l  d_spacing  intensity
2 2 0  5.570  329
2 2 4  3.818  485
2 6 0  3.033  309
2 2 6  2.961  296
2 6 2  2.913  342
0 0 8  2.622  324
4 4 4  2.460  1000
0 8 4  2.298  175
6 2 4  2.000  193
2 6 8  1.983  183